(1)
Theoretical PXRD pattern of ZrSb2 for copper Kα, from a structure optimized by DFT (PBE).

Structure:
```
ZrSb2
1.0
8.164 0.000 0.000
-4.082 7.071 0.000
0.000 0.000 3.844
Zr Sb
3 6
Direct
0.000 0.000 0.000
0.333 0.667 0.500
0.667 0.333 0.500
0.000 0.269 0.500
0.000 0.599 0.000
0.269 0.000 0.500
0.401 0.401 0.000
0.599 0.000 0.000
0.731 0.731 0.500
```

Most intense lines, 10° ≤ 2θ ≤ 90°, in order of falling intensity:
| 2theta | Rel. int. |
| --- | --- |
| 32.0 | 100 |
| 34.5 | 72 |
| 38.2 | 49 |
| 33.5 | 45 |
| 62.1 | 34 |
| 41.1 | 23 |

=====

(2)
Theoretical PXRD pattern of ZrSb7 for copper Kα, from a structure optimized by DFT (PBE).

Structure:
```
ZrSb7
1.0
0.000 4.715 4.715
4.715 0.000 4.715
4.715 4.715 0.000
Zr Sb
1 7
Direct
0.000 0.000 0.000
0.000 0.000 0.500
0.000 0.500 0.000
0.000 0.500 0.500
0.500 0.000 0.000
0.500 0.000 0.500
0.500 0.500 0.000
0.500 0.500 0.500
```

Most intense lines, 10° ≤ 2θ ≤ 90°, in order of falling intensity:
| 2theta | Rel. int. |
| --- | --- |
| 32.9 | 100 |
| 38.2 | 50 |
| 65.7 | 39 |
| 55.1 | 34 |
| 69.0 | 11 |
| 81.7 | 5 |

=====

(3)
Theoretical PXRD pattern of Zr7Sb6 for copper Kα, from a structure optimized by DFT (PBE).

Structure:
```
Zr7Sb6
1.0
3.028 1.748 9.834
-3.028 1.748 9.834
0.000 -3.497 9.834
Zr Sb
7 6
Direct
0.000 0.000 0.000
0.082 0.082 0.584
0.082 0.584 0.082
0.416 0.918 0.918
0.584 0.082 0.082
0.918 0.416 0.918
0.918 0.918 0.416
0.167 0.167 0.167
0.338 0.338 0.338
0.449 0.449 0.449
0.551 0.551 0.551
0.662 0.662 0.662
0.833 0.833 0.833
```

Most intense lines, 10° ≤ 2θ ≤ 90°, in order of falling intensity:
| 2theta | Rel. int. |
| --- | --- |
| 34.8 | 100 |
| 29.5 | 60 |
| 40.5 | 42 |
| 34.3 | 39 |
| 61.2 | 34 |
| 37.5 | 29 |

=====

(4)
Theoretical PXRD pattern of Zr3Sb4 for copper Kα, from a structure optimized by DFT (PBE).

Structure:
```
Zr3Sb4
1.0
7.833 -2.018 0.000
7.833 2.018 0.000
-0.404 0.000 5.947
Zr Sb
3 4
Direct
0.000 0.000 0.000
0.195 0.195 0.758
0.805 0.805 0.242
0.167 0.167 0.251
0.442 0.442 0.302
0.558 0.558 0.698
0.833 0.833 0.749
```

Most intense lines, 10° ≤ 2θ ≤ 90°, in order of falling intensity:
| 2theta | Rel. int. |
| --- | --- |
| 28.0 | 100 |
| 42.4 | 90 |
| 31.3 | 74 |
| 30.1 | 65 |
| 36.4 | 61 |
| 46.5 | 52 |

=====

(5)
Theoretical PXRD pattern of ZrSb for copper Kα, from a structure optimized by DFT (PBE).

Structure:
```
ZrSb
1.0
8.273 0.000 0.000
-4.136 7.165 0.000
0.000 0.000 5.743
Zr Sb
6 6
Direct
0.081 0.688 0.250
0.312 0.393 0.250
0.393 0.081 0.750
0.607 0.919 0.250
0.688 0.607 0.750
0.919 0.312 0.750
0.086 0.710 0.750
0.290 0.376 0.750
0.376 0.086 0.250
0.624 0.914 0.750
0.710 0.624 0.250
0.914 0.290 0.250
```

Most intense lines, 10° ≤ 2θ ≤ 90°, in order of falling intensity:
| 2theta | Rel. int. |
| --- | --- |
| 33.1 | 100 |
| 46.1 | 78 |
| 21.5 | 68 |
| 31.1 | 58 |
| 38.2 | 30 |
| 37.7 | 21 |

=====

(6)
Theoretical PXRD pattern of Sc5Se6 for copper Kα, from a structure optimized by DFT (PBE).

Structure:
```
Sc5Se6
1.0
3.339 -5.761 0.000
3.339 5.761 0.000
-2.230 0.000 6.276
Sc Se
5 6
Direct
0.000 0.000 0.000
0.165 0.835 0.500
0.334 0.666 0.000
0.666 0.334 0.000
0.835 0.165 0.500
0.088 0.418 0.252
0.254 0.254 0.746
0.418 0.088 0.252
0.582 0.912 0.748
0.746 0.746 0.254
0.912 0.582 0.748
```

Most intense lines, 10° ≤ 2θ ≤ 90°, in order of falling intensity:
| 2theta | Rel. int. |
| --- | --- |
| 32.9 | 100 |
| 47.2 | 58 |
| 28.4 | 19 |
| 58.8 | 18 |
| 78.6 | 15 |
| 47.3 | 12 |

=====

(7)
Theoretical PXRD pattern of Sc3Se5 for copper Kα, from a structure optimized by DFT (PBE).

Structure:
```
Sc3Se5
1.0
0.000 7.455 3.320
7.059 0.000 3.320
7.059 7.455 0.000
Sc Se
6 10
Direct
0.119 0.119 0.381
0.149 0.851 0.149
0.341 0.646 0.659
0.619 0.619 0.881
0.646 0.341 0.354
0.851 0.149 0.851
0.086 0.666 0.540
0.169 0.565 0.047
0.222 0.222 0.778
0.292 0.460 0.334
0.460 0.292 0.914
0.565 0.169 0.218
0.666 0.086 0.708
0.736 0.736 0.264
0.782 0.953 0.435
0.953 0.782 0.831
```

Most intense lines, 10° ≤ 2θ ≤ 90°, in order of falling intensity:
| 2theta | Rel. int. |
| --- | --- |
| 39.1 | 100 |
| 38.4 | 78 |
| 35.1 | 61 |
| 33.5 | 59 |
| 38.2 | 58 |
| 26.9 | 49 |

=====

(8)
Theoretical PXRD pattern of Sc5Se8 for copper Kα, from a structure optimized by DFT (PBE).

Structure:
```
Sc5Se8
1.0
6.396 -3.850 0.000
6.396 3.850 0.000
-6.281 0.000 6.643
Sc Se
5 8
Direct
0.000 0.000 0.000
0.261 0.739 0.500
0.269 0.269 0.007
0.731 0.731 0.993
0.739 0.261 0.500
0.025 0.025 0.321
0.029 0.549 0.831
0.451 0.971 0.169
0.457 0.457 0.663
0.543 0.543 0.337
0.549 0.029 0.831
0.971 0.451 0.169
0.975 0.975 0.679
```

Most intense lines, 10° ≤ 2θ ≤ 90°, in order of falling intensity:
| 2theta | Rel. int. |
| --- | --- |
| 30.4 | 100 |
| 30.1 | 89 |
| 47.4 | 44 |
| 39.2 | 34 |
| 38.9 | 25 |
| 50.6 | 24 |